# 1
Computed X-ray diffraction stick pattern
Compound: Fe9Cu9S16
Radiation: Cu Kα, 1.54184 Å
Structure: a DFT-relaxed cell (GGA-PBE, the Materials Project)

Atomic structure:
```
34
Lattice="10.564 0.000 0.000 0.000 10.564 0.000 0.000 0.000 5.218" Properties=species:S:1:pos:R:3 pbc="T T T"
Fe 0.000 0.000 0.000
Fe 0.000 0.000 2.609
Fe 0.000 5.282 0.000
Fe 2.620 5.282 2.609
Fe 5.282 0.000 0.000
Fe 5.282 2.620 2.609
Fe 5.282 5.282 2.609
Fe 5.282 7.944 2.609
Fe 7.944 5.282 2.609
Cu 0.000 2.664 2.609
Cu 0.000 7.899 2.609
Cu 2.620 2.620 0.063
Cu 2.620 7.944 5.155
Cu 2.664 0.000 2.609
Cu 5.282 5.282 0.000
Cu 7.899 0.000 2.609
Cu 7.944 2.620 5.155
Cu 7.944 7.944 0.063
S 1.237 1.237 3.959
S 1.237 9.326 1.259
S 1.320 3.966 1.297
S 1.320 6.597 3.921
S 3.966 1.320 1.297
S 3.956 3.956 3.853
S 3.956 6.607 1.364
S 3.966 9.244 3.921
S 6.597 1.320 3.921
S 6.607 3.956 1.364
S 6.607 6.607 3.853
S 6.597 9.244 1.297
S 9.244 3.966 3.921
S 9.244 6.597 1.297
S 9.326 1.237 1.259
S 9.326 9.326 3.959
```

Principal peaks in the range 2θ from 10° to 90°, low angle first:
29.4 deg, I 100.0; 33.9 deg, I 11.9; 48.8 deg, I 28.0; 49.1 deg, I 54.7; 58.0 deg, I 25.4; 58.5 deg, I 12.2; 71.4 deg, I 8.1; 79.6 deg, I 9.4

=====

# 2
Computed X-ray diffraction stick pattern
Compound: FeCuSeS
Radiation: Cu Kα, 1.54184 Å
Structure: a DFT-relaxed cell (GGA-PBE, the Materials Project)

Atomic structure:
```
8
Lattice="-2.674 2.687 5.305 2.674 -2.687 5.305 2.674 2.687 -5.305" Properties=species:S:1:pos:R:3 pbc="T T T"
Fe 2.674 1.344 -1.197
Fe 0.000 1.344 1.197
Cu 2.674 1.344 4.104
Cu 0.000 1.344 6.506
Se 1.392 2.687 -2.653
Se 1.282 2.687 2.653
S 1.337 0.029 0.000
S 1.337 -0.029 5.305
```

Principal peaks in the range 2θ from 10° to 90°, low angle first:
28.9 deg, I 100.0; 48.0 deg, I 23.2; 48.2 deg, I 21.9; 48.3 deg, I 21.7; 56.9 deg, I 13.4; 57.1 deg, I 13.2; 57.5 deg, I 11.8; 89.6 deg, I 7.0

=====

# 3
Computed X-ray diffraction stick pattern
Compound: FeCu2SiS4
Radiation: Cu Kα, 1.54184 Å
Structure: a DFT-relaxed cell (GGA-PBE, the Materials Project)

Atomic structure:
```
16
Lattice="7.393 0.000 0.000 0.000 6.387 0.000 0.000 0.000 6.130" Properties=species:S:1:pos:R:3 pbc="T T T"
Fe 0.000 0.990 0.000
Fe 3.696 5.397 3.065
Cu 1.830 2.081 3.002
Cu 1.867 4.306 6.067
Cu 5.526 4.306 6.067
Cu 5.563 2.081 3.002
Si 0.000 5.289 3.059
Si 3.696 1.097 6.124
S 0.000 0.931 3.806
S 0.000 5.267 0.886
S 1.778 4.267 3.770
S 1.918 2.120 0.705
S 3.696 1.120 3.951
S 3.696 5.456 0.741
S 5.474 2.120 0.705
S 5.615 4.267 3.770
```

Principal peaks in the range 2θ from 10° to 90°, low angle first:
27.9 deg, I 100.0; 29.1 deg, I 59.4; 31.6 deg, I 91.9; 40.8 deg, I 33.7; 49.4 deg, I 72.1; 53.2 deg, I 75.8; 58.4 deg, I 42.6; 75.5 deg, I 16.5

=====

# 4
Computed X-ray diffraction stick pattern
Compound: FeCu6Sn2S8
Radiation: Cu Kα, 1.54184 Å
Structure: a DFT-relaxed cell (GGA-PBE, the Materials Project)

Atomic structure:
```
17
Lattice="7.773 0.000 0.000 0.000 7.773 0.000 0.000 0.000 5.452" Properties=species:S:1:pos:R:3 pbc="T T T"
Fe 0.000 0.000 0.000
Cu 0.000 3.887 0.149
Cu 2.015 2.015 2.726
Cu 2.015 5.758 2.726
Cu 3.887 0.000 5.303
Cu 5.758 2.015 2.726
Cu 5.758 5.758 2.726
Sn 0.000 0.000 2.726
Sn 3.887 3.887 0.000
S 0.000 2.056 4.202
S 0.000 5.717 4.202
S 1.863 3.887 1.431
S 2.056 0.000 1.250
S 3.887 1.863 4.021
S 3.887 5.910 4.021
S 5.717 0.000 1.250
S 5.910 3.887 1.431
```

Principal peaks in the range 2θ from 10° to 90°, low angle first:
19.9 deg, I 18.0; 28.2 deg, I 100.0; 30.5 deg, I 25.2; 32.6 deg, I 23.5; 46.7 deg, I 37.8; 46.9 deg, I 73.4; 55.5 deg, I 25.6; 87.0 deg, I 22.8

=====

# 5
Computed X-ray diffraction stick pattern
Compound: ZnFe2Cu6Sn3S12
Radiation: Cu Kα, 1.54184 Å
Structure: a DFT-relaxed cell (GGA-PBE, the Materials Project)

Atomic structure:
```
24
Lattice="-2.711 2.711 16.361 2.711 -2.711 16.361 2.711 2.711 -16.361" Properties=species:S:1:pos:R:3 pbc="T T T"
Zn 0.000 0.000 0.000
Fe 0.000 0.000 10.906
Fe 0.000 0.000 21.816
Cu 2.711 0.000 2.730
Cu 0.000 0.000 5.453
Cu 2.711 0.000 13.631
Cu 0.000 0.000 16.361
Cu 0.000 2.711 8.180
Cu 0.000 0.000 27.268
Sn 2.711 0.000 8.180
Sn 0.000 2.711 2.731
Sn 0.000 2.711 13.630
S 3.980 1.286 -6.734
S 1.295 1.437 -4.169
S 1.409 -1.259 15.048
S 1.451 1.302 1.313
S 3.985 1.295 4.169
S 1.286 1.442 6.734
S -1.269 1.425 9.627
S 1.416 1.274 12.192
S 1.302 3.970 -1.313
S 1.259 1.409 17.674
S -1.274 1.416 20.530
S 1.425 1.269 23.094
```

Principal peaks in the range 2θ from 10° to 90°, low angle first:
28.5 deg, I 100.0; 33.0 deg, I 10.2; 47.3 deg, I 39.3; 47.4 deg, I 19.4; 56.0 deg, I 14.0; 56.2 deg, I 27.6; 76.4 deg, I 10.8; 88.2 deg, I 12.5

=====

# 6
Computed X-ray diffraction stick pattern
Compound: Ti3FeCu2S8
Radiation: Cu Kα, 1.54184 Å
Structure: a DFT-relaxed cell (GGA-PBE, the Materials Project)

Atomic structure:
```
14
Lattice="3.486 2.013 5.690 -3.486 2.013 5.690 0.000 -4.025 5.690" Properties=species:S:1:pos:R:3 pbc="T T T"
Ti -1.743 -1.006 5.690
Ti -1.743 1.006 11.380
Ti 0.000 2.013 5.690
Fe 0.000 0.000 8.535
Cu 0.000 0.000 2.111
Cu 0.000 0.000 14.959
S 0.000 0.000 4.343
S 0.000 -1.882 7.148
S -1.629 0.941 7.148
S -1.629 -0.941 9.922
S 1.629 0.941 7.148
S 1.629 -0.941 9.922
S 0.000 1.882 9.922
S 0.000 0.000 12.728
```

Principal peaks in the range 2θ from 10° to 90°, low angle first:
25.6 deg, I 39.5; 30.1 deg, I 100.0; 36.5 deg, I 39.8; 45.1 deg, I 15.9; 48.0 deg, I 42.9; 52.5 deg, I 86.8; 73.8 deg, I 17.3; 77.5 deg, I 12.5

=====

# 7
Computed X-ray diffraction stick pattern
Compound: Zr3FeCu2S8
Radiation: Cu Kα, 1.54184 Å
Structure: a DFT-relaxed cell (GGA-PBE, the Materials Project)

Atomic structure:
```
14
Lattice="3.657 2.111 5.819 -3.657 2.111 5.819 0.000 -4.223 5.819" Properties=species:S:1:pos:R:3 pbc="T T T"
Zr -1.829 -1.056 5.819
Zr -1.829 1.056 11.637
Zr 0.000 2.111 5.819
Fe 0.000 0.000 8.728
Cu 0.000 0.000 2.117
Cu 0.000 0.000 15.339
S 0.000 0.000 4.380
S -1.725 -0.996 10.082
S 0.000 -1.992 7.374
S -1.725 0.996 7.374
S 1.725 -0.996 10.082
S 0.000 1.992 10.082
S 1.725 0.996 7.374
S 0.000 0.000 13.075
```

Principal peaks in the range 2θ from 10° to 90°, low angle first:
24.8 deg, I 33.7; 28.6 deg, I 87.5; 28.8 deg, I 88.9; 29.2 deg, I 52.4; 35.0 deg, I 100.0; 46.0 deg, I 39.5; 49.9 deg, I 87.1; 50.8 deg, I 80.9

=====

# 8
Computed X-ray diffraction stick pattern
Compound: FeCuSe2
Radiation: Cu Kα, 1.54184 Å
Structure: a DFT-relaxed cell (GGA-PBE, the Materials Project)

Atomic structure:
```
8
Lattice="5.463 0.000 0.000 0.000 5.463 0.000 0.000 0.000 5.615" Properties=species:S:1:pos:R:3 pbc="T T T"
Fe 0.000 2.731 0.000
Fe 2.731 0.000 0.000
Cu 0.000 0.000 0.000
Cu 0.000 0.000 2.807
Se 1.429 1.429 4.189
Se 1.429 4.033 1.426
Se 4.033 1.429 1.426
Se 4.033 4.033 4.189
```

Principal peaks in the range 2θ from 10° to 90°, low angle first:
16.2 deg, I 21.4; 28.0 deg, I 100.0; 36.0 deg, I 11.8; 46.4 deg, I 69.3; 47.1 deg, I 32.8; 54.5 deg, I 14.9; 55.7 deg, I 26.9; 87.0 deg, I 20.4

=====

# 9
Computed X-ray diffraction stick pattern
Compound: FeCu2SiSe4
Radiation: Cu Kα, 1.54184 Å
Structure: a DFT-relaxed cell (GGA-PBE, the Materials Project)

Atomic structure:
```
8
Lattice="-2.794 2.794 5.520 2.794 -2.794 5.520 2.794 2.794 -5.520" Properties=species:S:1:pos:R:3 pbc="T T T"
Fe 0.000 0.000 0.000
Cu 2.794 0.000 2.760
Cu 0.000 2.794 2.760
Si 0.000 0.000 5.520
Se 1.438 1.438 -1.365
Se 1.355 -1.355 6.885
Se 1.355 1.355 4.154
Se -1.355 1.355 6.885
```

Principal peaks in the range 2θ from 10° to 90°, low angle first:
27.8 deg, I 100.0; 45.9 deg, I 23.5; 46.2 deg, I 46.2; 54.5 deg, I 28.4; 55.1 deg, I 13.9; 74.4 deg, I 11.0; 85.3 deg, I 14.7; 85.9 deg, I 7.3

=====

# 10
Computed X-ray diffraction stick pattern
Compound: FeCu2SnSe4
Radiation: Cu Kα, 1.54184 Å
Structure: a DFT-relaxed cell (GGA-PBE, the Materials Project)

Atomic structure:
```
8
Lattice="1.989 1.149 14.166 -1.989 1.149 14.166 0.000 -2.297 14.166" Properties=species:S:1:pos:R:3 pbc="T T T"
Fe 0.000 0.000 0.000
Cu 0.000 0.000 11.123
Cu 0.000 0.000 22.322
Sn 0.000 0.000 32.433
Se 0.000 0.000 8.736
Se 0.000 0.000 19.824
Se 0.000 0.000 29.063
Se 0.000 0.000 40.186
```

Principal peaks in the range 2θ from 10° to 90°, low angle first:
25.1 deg, I 23.8; 27.2 deg, I 100.0; 43.0 deg, I 19.4; 45.6 deg, I 51.4; 48.5 deg, I 14.7; 52.8 deg, I 18.2; 53.9 deg, I 14.4; 56.5 deg, I 16.4

=====

# 11
Computed X-ray diffraction stick pattern
Compound: Fe2Cu3Sn6Se16
Radiation: Cu Kα, 1.54184 Å
Structure: a DFT-relaxed cell (GGA-PBE, the Materials Project)

Atomic structure:
```
27
Lattice="7.677 0.000 0.000 0.000 7.724 0.000 -0.115 0.000 10.881" Properties=species:S:1:pos:R:3 pbc="T T T"
Fe 0.000 0.000 0.000
Fe 3.775 3.862 5.408
Cu 1.920 3.862 9.546
Cu 5.689 3.862 1.306
Cu 5.802 0.000 4.140
Sn 0.019 3.862 5.459
Sn 1.916 1.922 2.747
Sn 1.916 5.802 2.747
Sn 3.741 0.000 10.810
Sn 5.675 1.858 8.157
Sn 5.675 5.866 8.157
Se 7.645 3.862 2.704
Se -0.008 0.000 2.482
Se -0.070 3.862 8.185
Se -0.063 0.000 8.480
Se 1.753 1.753 0.002
Se 1.753 5.971 0.002
Se 2.106 2.121 5.447
Se 2.106 5.604 5.447
Se 3.675 0.000 8.089
Se 3.784 3.862 7.913
Se 3.846 3.862 2.934
Se 3.867 0.000 2.711
Se 5.573 2.092 5.428
Se 5.573 5.632 5.428
Se 5.951 1.758 0.008
Se 5.951 5.966 0.008
```

Principal peaks in the range 2θ from 10° to 90°, low angle first:
14.1 deg, I 27.0; 27.1 deg, I 52.1; 32.9 deg, I 100.0; 43.1 deg, I 15.2; 47.1 deg, I 52.1; 47.4 deg, I 50.1; 58.6 deg, I 17.0; 69.0 deg, I 14.9

=====

# 12
Computed X-ray diffraction stick pattern
Compound: FeCu2SnSe4
Radiation: Cu Kα, 1.54184 Å
Structure: a DFT-relaxed cell (GGA-PBE, the Materials Project)

Atomic structure:
```
8
Lattice="-2.884 2.884 5.665 2.884 -2.884 5.665 2.884 2.884 -5.665" Properties=species:S:1:pos:R:3 pbc="T T T"
Fe 0.000 0.000 0.000
Cu 2.884 0.000 2.832
Cu 0.000 2.884 2.832
Sn 0.000 0.000 5.665
Se 1.328 1.328 -1.516
Se 1.556 -1.556 7.180
Se 1.556 1.556 4.149
Se -1.556 1.556 7.180
```

Principal peaks in the range 2θ from 10° to 90°, low angle first:
26.9 deg, I 100.0; 44.4 deg, I 24.3; 44.9 deg, I 47.6; 52.7 deg, I 28.6; 53.5 deg, I 13.9; 64.6 deg, I 7.2; 72.0 deg, I 11.4; 82.1 deg, I 14.0